[1]
Diffraction record for HfBe4Ru. The PXRD pattern is theoretical, not measured: it uses a structure optimized by DFT (GGA-PBE) and Cu Kα (weighted mean of Kα1 and Kα2).
Intensities are scaled so that the largest is 100.

Crystal structure
```
6
Lattice="0.000 3.202 3.202 3.202 0.000 3.202 3.202 3.202 0.000" Properties=species:S:1:pos:R:3 pbc="T T T"
Hf 0.000 0.000 0.000
Be 2.411 2.411 2.411
Be 3.994 3.994 2.411
Be 3.994 2.411 3.994
Be 2.411 3.994 3.994
Ru 4.803 4.803 4.803
```

Principal peaks in the range 2θ = 10–90°, low angle first:
2θ 24.07, intensity 100
2θ 27.86, intensity 7
2θ 39.81, intensity 87
2θ 47.06, intensity 64
2θ 57.56, intensity 12
2θ 63.29, intensity 21
2θ 65.14, intensity 3
2θ 72.27, intensity 30
2θ 77.43, intensity 20
2θ 85.83, intensity 11

[2]
Diffraction record for BaHg5Sb2. The PXRD pattern is theoretical, not measured: it uses a structure optimized by DFT (GGA-PBE) and Cu Kα (weighted mean of Kα1 and Kα2).
Intensities are scaled so that the largest is 100.

Crystal structure
```
8
Lattice="5.025 0.000 0.000 2.500 6.173 0.000 2.475 2.210 8.980" Properties=species:S:1:pos:R:3 pbc="T T T"
Ba 0.000 0.000 0.000
Hg 5.000 6.845 5.826
Hg 4.973 4.823 8.174
Hg 5.000 4.192 4.490
Hg 5.027 3.561 0.805
Hg 5.000 1.538 3.154
Sb 4.990 6.191 2.564
Sb 5.010 2.192 6.415
```

Principal peaks in the range 2θ = 10–90°, low angle first:
2θ 19.33, intensity 50
2θ 20.23, intensity 100
2θ 27.52, intensity 42
2θ 29.85, intensity 62
2θ 32.93, intensity 61
2θ 34.25, intensity 64
2θ 34.38, intensity 64
2θ 35.73, intensity 63
2θ 40.91, intensity 46
2θ 47.20, intensity 27

[3]
Diffraction record for Rb2Hg2Au. The PXRD pattern is theoretical, not measured: it uses a structure optimized by DFT (GGA-PBE) and Cu Kα (weighted mean of Kα1 and Kα2).
Intensities are scaled so that the largest is 100.

Crystal structure
```
10
Lattice="6.258 -2.715 0.000 6.258 2.715 0.000 -4.104 0.000 10.468" Properties=species:S:1:pos:R:3 pbc="T T T"
Rb -0.276 0.000 4.138
Rb 1.994 0.000 0.485
Rb 6.417 0.000 9.983
Rb 8.687 0.000 6.330
Hg 3.443 0.000 3.743
Hg 2.481 0.000 8.904
Hg 5.930 0.000 1.565
Hg 4.968 0.000 6.726
Au -0.199 0.000 7.671
Au 8.610 0.000 2.797
```

Principal peaks in the range 2θ = 10–90°, low angle first:
2θ 18.02, intensity 46
2θ 18.19, intensity 43
2θ 28.30, intensity 74
2θ 29.00, intensity 68
2θ 31.94, intensity 100
2θ 32.04, intensity 31
2θ 32.99, intensity 72
2θ 37.35, intensity 38
2θ 40.05, intensity 29
2θ 46.62, intensity 45

[4]
Diffraction record for Y8Er2Mg. The PXRD pattern is theoretical, not measured: it uses a structure optimized by DFT (GGA-PBE) and Cu Kα (weighted mean of Kα1 and Kα2).
Intensities are scaled so that the largest is 100.

Crystal structure
```
11
Lattice="5.402 0.000 0.000 0.000 6.480 5.118 0.000 -6.480 5.118" Properties=species:S:1:pos:R:3 pbc="T T T"
Y 0.000 0.000 0.000
Y 0.000 0.000 3.398
Y 0.000 -3.279 6.820
Y 0.000 3.279 6.820
Y 2.701 -1.774 5.140
Y 2.701 1.774 5.140
Y 2.701 -1.773 8.496
Y 2.701 1.773 8.496
Er 2.701 -1.555 1.700
Er 2.701 1.555 1.700
Mg 0.000 0.000 6.813
```

Principal peaks in the range 2θ = 10–90°, low angle first:
2θ 11.01, intensity 37
2θ 16.41, intensity 21
2θ 27.68, intensity 23
2θ 31.78, intensity 85
2θ 32.22, intensity 100
2θ 33.17, intensity 48
2θ 33.47, intensity 43
2θ 47.83, intensity 31
2θ 58.65, intensity 17
2θ 64.05, intensity 27

[5]
Diffraction record for Ca6PdAu5. The PXRD pattern is theoretical, not measured: it uses a structure optimized by DFT (GGA-PBE) and Cu Kα (weighted mean of Kα1 and Kα2).
Intensities are scaled so that the largest is 100.

Crystal structure
```
12
Lattice="5.108 0.000 0.000 0.000 7.318 0.000 -2.527 0.000 7.633" Properties=species:S:1:pos:R:3 pbc="T T T"
Ca 0.000 1.812 0.000
Ca 0.000 5.506 0.000
Ca 0.018 1.815 5.110
Ca 0.018 5.503 5.110
Ca 2.563 1.815 2.522
Ca 2.563 5.503 2.522
Pd 2.554 0.000 0.000
Au 0.010 0.000 2.514
Au 0.007 3.659 2.562
Au 2.554 3.659 0.000
Au 2.574 3.659 5.070
Au 2.571 0.000 5.118
```

Principal peaks in the range 2θ = 10–90°, low angle first:
2θ 24.32, intensity 24
2θ 24.70, intensity 46
2θ 34.94, intensity 100
2θ 35.14, intensity 25
2θ 35.28, intensity 24
2θ 43.20, intensity 11
2θ 43.31, intensity 11
2θ 56.40, intensity 10
2θ 62.44, intensity 9
2θ 63.00, intensity 18

[6]
Diffraction record for Pm2In3Ag4. The PXRD pattern is theoretical, not measured: it uses a structure optimized by DFT (GGA-PBE) and Cu Kα (weighted mean of Kα1 and Kα2).
Intensities are scaled so that the largest is 100.

Crystal structure
```
9
Lattice="4.337 -2.505 0.000 4.337 2.505 0.000 -0.012 0.000 9.511" Properties=species:S:1:pos:R:3 pbc="T T T"
Pm 1.442 0.000 2.686
Pm 7.221 0.000 6.825
In 1.437 0.000 8.747
In 4.331 0.000 4.756
In 7.226 0.000 0.764
Ag 1.438 0.000 5.706
Ag 4.333 0.000 1.452
Ag 4.330 0.000 8.059
Ag 7.225 0.000 3.805
```

Principal peaks in the range 2θ = 10–90°, low angle first:
2θ 35.06, intensity 100
2θ 35.85, intensity 99
2θ 51.02, intensity 33
2θ 62.37, intensity 15
2θ 63.92, intensity 33
2θ 64.43, intensity 17
2θ 74.08, intensity 9
2θ 75.99, intensity 11
2θ 85.10, intensity 8
2θ 86.52, intensity 15